For LiDy2Nb2O8, a cell relaxed with PBE gives the simulated X-ray powder pattern in this record (Cu Kα (λ = 1.5418 Å)).
Lines closer than 0.1° are merged.

Principal peaks in the range 2θ from 5° to 70°, in order of rising 2θ:
25.1°, rel. 100
32.0°, rel. 20
32.3°, rel. 43
32.5°, rel. 21
35.7°, rel. 23
48.6°, rel. 15
48.7°, rel. 16
49.1°, rel. 16
49.3°, rel. 16
51.4°, rel. 14

abc: 5.9780 6.0271 6.0339
angles: 113.04 107.50 107.32
Atoms (fractional coordinates):
1 Li 0.0000 0.0000 0.0000
2 Dy 0.5500 0.4152 0.3802
3 Dy 0.9903 0.1227 0.5841
4 Nb 0.4657 0.8431 0.8472
5 Nb 0.9962 0.5851 0.1104
6 O 0.1775 0.8280 0.5361
7 O 0.1893 0.3676 0.0627
8 O 0.3004 0.9160 0.0999
9 O 0.3155 0.4491 0.6168
10 O 0.7026 0.8551 0.6562
11 O 0.7099 0.2778 0.0845
12 O 0.7894 0.8249 0.1286
13 O 0.8289 0.4102 0.7100